1.
Diffraction record for Ac3LaPt2. The X-ray diffraction stick pattern is computed, not measured: it uses a crystal structure in Alexandria, relaxed with PBE and λ = 1.5418 Å (Cu Kα).
Kinematic intensities with the Lorentz-polarization factor, no thermal factor.

Largest 6 diffraction maxima, in order of falling intensity, 10 to 90 degrees two-theta:
29.3 deg, rel. 100
40.8 deg, rel. 42
13.2 deg, rel. 29
43.1 deg, rel. 23
43.1 deg, rel. 21
24.9 deg, rel. 19

Structural model:
Lattice parameters (Å, degrees): 9.515 9.515 13.614 124.29 124.29 26.87
Element x y z (fractional)
Ac: 0.061 0.061 0.193
Ac: 0.188 0.188 0.562
Ac: 0.314 0.314 0.945
Ac: 0.686 0.686 0.055
Ac: 0.812 0.812 0.438
Ac: 0.939 0.939 0.807
La: 0.441 0.441 0.309
La: 0.559 0.559 0.691
Pt: 0.124 0.124 0.867
Pt: 0.376 0.376 0.623
Pt: 0.624 0.624 0.377
Pt: 0.876 0.876 0.133

***

2.
Diffraction record for FePPb2. The X-ray diffraction stick pattern is computed, not measured: it uses a crystal structure in Alexandria, relaxed with PBE and λ = 1.5418 Å (Cu Kα).
Kinematic intensities with the Lorentz-polarization factor, no thermal factor.

Largest 6 diffraction maxima, in order of falling intensity, 10 to 90 degrees two-theta:
34.0 deg, rel. 100
27.5 deg, rel. 76
31.7 deg, rel. 66
48.0 deg, rel. 48
24.2 deg, rel. 33
39.6 deg, rel. 27

Structural model:
Lattice parameters (Å, degrees): 6.562 3.786 7.681 90.00 106.39 90.00
Element x y z (fractional)
Fe: 0.000 0.000 0.000
Fe: 0.500 0.500 0.000
P: 0.167 0.500 0.999
P: 0.667 0.000 0.999
Pb: 0.241 0.000 0.721
Pb: 0.425 0.000 0.279
Pb: 0.741 0.500 0.721
Pb: 0.925 0.500 0.279

***

3.
Diffraction record for ThSc2Bi3. The X-ray diffraction stick pattern is computed, not measured: it uses a crystal structure in Alexandria, relaxed with PBE and λ = 1.5418 Å (Cu Kα).
Kinematic intensities with the Lorentz-polarization factor, no thermal factor.

Largest 6 diffraction maxima, in order of falling intensity, 10 to 90 degrees two-theta:
28.4 deg, rel. 100
41.1 deg, rel. 73
29.0 deg, rel. 46
50.7 deg, rel. 40
40.6 deg, rel. 39
24.7 deg, rel. 29

Structural model:
Lattice parameters (Å, degrees): 4.442 4.442 18.472 90.00 90.00 90.00
Element x y z (fractional)
Th: 0.000 0.000 0.000
Th: 0.500 0.500 0.500
Sc: 0.000 0.000 0.335
Sc: 0.000 0.000 0.665
Sc: 0.500 0.500 0.165
Sc: 0.500 0.500 0.835
Bi: 0.000 0.000 0.174
Bi: 0.000 0.000 0.500
Bi: 0.000 0.000 0.826
Bi: 0.500 0.500 0.000
Bi: 0.500 0.500 0.326
Bi: 0.500 0.500 0.674

***

Repeat the second record exactly.
Diffraction record for FePPb2. The X-ray diffraction stick pattern is computed, not measured: it uses a crystal structure in Alexandria, relaxed with PBE and λ = 1.5418 Å (Cu Kα).
Kinematic intensities with the Lorentz-polarization factor, no thermal factor.

Largest 6 diffraction maxima, in order of falling intensity, 10 to 90 degrees two-theta:
34.0 deg, rel. 100
27.5 deg, rel. 76
31.7 deg, rel. 66
48.0 deg, rel. 48
24.2 deg, rel. 33
39.6 deg, rel. 27

Structural model:
Lattice parameters (Å, degrees): 6.562 3.786 7.681 90.00 106.39 90.00
Element x y z (fractional)
Fe: 0.000 0.000 0.000
Fe: 0.500 0.500 0.000
P: 0.167 0.500 0.999
P: 0.667 0.000 0.999
Pb: 0.241 0.000 0.721
Pb: 0.425 0.000 0.279
Pb: 0.741 0.500 0.721
Pb: 0.925 0.500 0.279

***

What did the third record say?
Diffraction record for ThSc2Bi3. The X-ray diffraction stick pattern is computed, not measured: it uses a crystal structure in Alexandria, relaxed with PBE and λ = 1.5418 Å (Cu Kα).
Kinematic intensities with the Lorentz-polarization factor, no thermal factor.

Largest 6 diffraction maxima, in order of falling intensity, 10 to 90 degrees two-theta:
28.4 deg, rel. 100
41.1 deg, rel. 73
29.0 deg, rel. 46
50.7 deg, rel. 40
40.6 deg, rel. 39
24.7 deg, rel. 29

Structural model:
Lattice parameters (Å, degrees): 4.442 4.442 18.472 90.00 90.00 90.00
Element x y z (fractional)
Th: 0.000 0.000 0.000
Th: 0.500 0.500 0.500
Sc: 0.000 0.000 0.335
Sc: 0.000 0.000 0.665
Sc: 0.500 0.500 0.165
Sc: 0.500 0.500 0.835
Bi: 0.000 0.000 0.174
Bi: 0.000 0.000 0.500
Bi: 0.000 0.000 0.826
Bi: 0.500 0.500 0.000
Bi: 0.500 0.500 0.326
Bi: 0.500 0.500 0.674